1.
Lu2FeHg: simulated X-ray powder pattern (a wavelength of 1.5418 Å), based on a crystal structure in OQMD, relaxed with GGA-PBE.

Structure:
Cell lengths 4.847, 4.847, 4.847 Å; angles 60.00, 60.00, 60.00 degrees
Element x y z (fractional)
Lu: 0.000 0.000 0.000
Lu: 0.250 0.250 0.250
Fe: 0.750 0.750 0.750
Hg: 0.500 0.500 0.500

Main lines, low angle first (5 to 70 degrees two-theta):
| 2θ (°) | I (rel.) |
| --- | --- |
| 22.47 | 9 |
| 26.00 | 7 |
| 37.10 | 100 |
| 43.80 | 5 |
| 53.47 | 18 |
| 58.71 | 2 |
| 60.39 | 3 |
| 66.86 | 36 |

2.
LuFeHgSb: simulated X-ray powder pattern (a wavelength of 1.5418 Å), based on a crystal structure in OQMD, relaxed with GGA-PBE.

Structure:
Cell lengths 4.918, 4.918, 4.918 Å; angles 60.00, 60.00, 60.00 degrees
Element x y z (fractional)
Lu: 0.000 0.000 0.000
Fe: 0.500 0.500 0.500
Hg: 0.750 0.750 0.750
Sb: 0.250 0.250 0.250

Main lines, low angle first (5 to 70 degrees two-theta):
| 2θ (°) | I (rel.) |
| --- | --- |
| 22.14 | 14 |
| 25.62 | 3 |
| 36.54 | 100 |
| 43.14 | 8 |
| 52.64 | 18 |
| 57.78 | 4 |
| 59.43 | 1 |
| 65.78 | 36 |